Record 1
This entry pairs a crystal structure of Tl3B3S10 with its simulated PXRD pattern. Radiation: Cu Kα, 1.54184 Å. Structure: the PBE geometry in the Materials Project.
Intensities are scaled so that the largest is 100.

Atomic structure:
a = 7.0500 Å, b = 7.9955 Å, c = 13.9663 Å
α = 102.91°, β = 93.26°, γ = 95.99°
Atoms (fractional coordinates):
Tl: 0.0093 0.3748 0.2971
Tl: 0.2736 0.9370 0.3429
Tl: 0.3180 0.6865 0.9841
Tl: 0.6820 0.3135 0.0159
Tl: 0.7264 0.0630 0.6571
Tl: 0.9907 0.6252 0.7029
B: 0.1039 0.1171 0.9141
B: 0.2597 0.2240 0.7412
B: 0.3674 0.4152 0.5888
B: 0.6326 0.5848 0.4112
B: 0.7403 0.7760 0.2588
B: 0.8961 0.8829 0.0859
S: 0.0754 0.2858 0.8376
S: 0.1356 0.0276 0.1231
S: 0.1385 0.2322 0.0503
S: 0.1697 0.2499 0.6138
S: 0.2420 0.5545 0.5154
S: 0.2974 0.9859 0.7310
S: 0.3286 0.0058 0.8826
S: 0.4646 0.7265 0.4861
S: 0.4787 0.5586 0.7123
S: 0.4907 0.6424 0.2187
S: 0.5093 0.3576 0.7813
S: 0.5213 0.4414 0.2877
S: 0.5354 0.2735 0.5139
S: 0.6714 0.9942 0.1174
S: 0.7026 0.0141 0.2690
S: 0.7580 0.4455 0.4846
S: 0.8303 0.7501 0.3862
S: 0.8615 0.7678 0.9497
S: 0.8644 0.9724 0.8769
S: 0.9246 0.7142 0.1624

Main lines, by angle (2θ = 10–80°):
2θ (°), Rel. int.
17.45, 65
17.94, 85
19.63, 78
22.40, 66
24.16, 60
24.49, 63
26.14, 64
26.89, 60
29.29, 60
30.08, 100
30.78, 50
31.14, 44

***

Record 2
This entry pairs a crystal structure of Dy4MgCo with its simulated PXRD pattern. Radiation: Cu Kα, 1.54184 Å. Structure: the PBE geometry in the Materials Project.
Intensities are scaled so that the largest is 100.

Atomic structure:
a = 9.5523 Å, b = 9.5523 Å, c = 9.5523 Å
α = 60.00°, β = 60.00°, γ = 60.00°
Atoms (fractional coordinates):
Dy: 0.0339 0.6554 0.6554
Dy: 0.0635 0.0635 0.4365
Dy: 0.0635 0.4365 0.0635
Dy: 0.0635 0.4365 0.4365
Dy: 0.1859 0.1859 0.8141
Dy: 0.1859 0.8141 0.1859
Dy: 0.1859 0.8141 0.8141
Dy: 0.4365 0.0635 0.0635
Dy: 0.4365 0.0635 0.4365
Dy: 0.4365 0.4365 0.0635
Dy: 0.6554 0.0339 0.6554
Dy: 0.6554 0.6554 0.0339
Dy: 0.6554 0.6554 0.6554
Dy: 0.8141 0.1859 0.1859
Dy: 0.8141 0.1859 0.8141
Dy: 0.8141 0.8141 0.1859
Mg: 0.4212 0.4212 0.4212
Mg: 0.4212 0.4212 0.7363
Mg: 0.4212 0.7363 0.4212
Mg: 0.7363 0.4212 0.4212
Co: 0.4225 0.8592 0.8592
Co: 0.8592 0.4225 0.8592
Co: 0.8592 0.8592 0.4225
Co: 0.8592 0.8592 0.8592

Main lines, by angle (2θ = 10–80°):
2θ (°), Rel. int.
11.35, 17
28.81, 59
32.47, 67
34.50, 100
37.67, 27
48.10, 12
55.69, 20
57.92, 60
59.24, 14
69.20, 13
71.18, 10
72.36, 9

***

Record 3
This entry pairs a crystal structure of Hf11Ga10 with its simulated PXRD pattern. Radiation: Cu Kα, 1.54184 Å. Structure: the PBE geometry in the Materials Project.
Intensities are scaled so that the largest is 100.

Atomic structure:
a = 10.4023 Å, b = 10.4023 Å, c = 10.4023 Å
α = 120.24°, β = 120.24°, γ = 89.58°
Atoms (fractional coordinates):
Hf: 0.0612 0.3119 0.7492
Hf: 0.1036 0.4372 0.3336
Hf: 0.1036 0.7701 0.6664
Hf: 0.1786 0.1786 0.0000
Hf: 0.2299 0.8964 0.3336
Hf: 0.3119 0.0612 0.7492
Hf: 0.3119 0.5627 0.2508
Hf: 0.3252 0.3252 0.6504
Hf: 0.3252 0.6748 0.0000
Hf: 0.4372 0.1036 0.3336
Hf: 0.4373 0.6881 0.7492
Hf: 0.5627 0.3119 0.2508
Hf: 0.5628 0.8964 0.6664
Hf: 0.6748 0.3252 0.0000
Hf: 0.6748 0.6748 0.3496
Hf: 0.6881 0.4373 0.7492
Hf: 0.6881 0.9388 0.2508
Hf: 0.7701 0.1036 0.6664
Hf: 0.8214 0.8214 0.0000
Hf: 0.8964 0.2299 0.3336
Hf: 0.8964 0.5628 0.6664
Hf: 0.9388 0.6881 0.2508
Ga: 0.0331 0.0331 0.4128
Ga: 0.0331 0.6204 0.0000
Ga: 0.1274 0.1274 0.2549
Ga: 0.1274 0.8726 0.0000
Ga: 0.1432 0.5000 0.6432
Ga: 0.2500 0.7500 0.5000
Ga: 0.3796 0.3796 0.4128
Ga: 0.3796 0.9669 0.0000
Ga: 0.3924 0.3924 0.0000
Ga: 0.5000 0.1432 0.6432
Ga: 0.5000 0.8568 0.3568
Ga: 0.6076 0.6076 0.0000
Ga: 0.6204 0.0331 0.0000
Ga: 0.6204 0.6204 0.5872
Ga: 0.7500 0.2500 0.5000
Ga: 0.8568 0.5000 0.3568
Ga: 0.8726 0.1274 0.0000
Ga: 0.8726 0.8726 0.7451
Ga: 0.9669 0.3796 0.0000
Ga: 0.9669 0.9669 0.5872

Main lines, by angle (2θ = 10–80°):
2θ (°), Rel. int.
26.49, 24
34.62, 33
36.06, 98
36.20, 100
36.73, 68
36.79, 61
38.83, 17
40.17, 28
53.01, 19
57.16, 33
60.22, 23
73.93, 26